No. 1
# KMg6MnO8
Calculated XRD peak list, Cu Kα (weighted mean of Kα1 and Kα2). Input: a DFT-relaxed cell (GGA+U, the Materials Project).
Kinematic intensities with the Lorentz-polarization factor, no thermal factor.

Atomic structure:
Unit cell a=4.404 b=4.404 c=8.851 alpha=90.00 beta=90.00 gamma=90.00
Positions (direct):
1 K 0.000 0.000 0.000
2 Mg 0.000 0.000 0.500
3 Mg 0.000 0.500 0.261
4 Mg 0.000 0.500 0.739
5 Mg 0.500 0.000 0.261
6 Mg 0.500 0.000 0.739
7 Mg 0.500 0.500 0.500
8 Mn 0.500 0.500 0.000
9 O 0.000 0.000 0.276
10 O 0.000 0.000 0.724
11 O 0.000 0.500 0.000
12 O 0.000 0.500 0.500
13 O 0.500 0.000 0.000
14 O 0.500 0.000 0.500
15 O 0.500 0.500 0.249
16 O 0.500 0.500 0.751

Most intense lines, 10 to 80 degrees two-theta, by intensity:
2θ = 40.98°, d = 2.202 Å, I = 100.0, hkl 2 0 0
2θ = 59.20°, d = 1.561 Å, I = 54.5, hkl 2 0 4
2θ = 40.78°, d = 2.213 Å, I = 48.1, hkl 0 0 4
2θ = 35.24°, d = 2.547 Å, I = 30.5, hkl 1 1 2
2θ = 59.35°, d = 1.557 Å, I = 28.5, hkl 2 2 0
2θ = 74.51°, d = 1.273 Å, I = 24.6, hkl 2 2 4
2θ = 70.94°, d = 1.329 Å, I = 10.6, hkl 3 1 2
2θ = 30.43°, d = 2.938 Å, I = 7.3, hkl 1 1 1
2θ = 20.08°, d = 4.422 Å, I = 6.7, hkl 0 0 2
2θ = 70.66°, d = 1.333 Å, I = 5.6, hkl 1 1 6

No. 2
# K2MgMn2O4
Calculated XRD peak list, Cu Kα (weighted mean of Kα1 and Kα2). Input: a DFT-relaxed cell (GGA+U, the Materials Project).
Kinematic intensities with the Lorentz-polarization factor, no thermal factor.

Atomic structure:
Unit cell a=3.124 b=6.730 c=8.727 alpha=99.02 beta=90.26 gamma=90.59
Positions (direct):
1 K 0.000 0.000 0.000
2 K 0.499 0.336 0.313
3 Mg 0.492 0.671 0.654
4 Mn 0.000 0.488 0.945
5 Mn 0.483 0.875 0.391
6 O 0.499 0.332 0.014
7 O 0.499 0.668 0.870
8 O 0.985 0.017 0.317
9 O 0.990 0.690 0.519

Most intense lines, 10 to 80 degrees two-theta, by intensity:
2θ = 18.09°, d = 4.904 Å, I = 100.0, hkl 0 1 1
2θ = 20.61°, d = 4.310 Å, I = 77.0, hkl 0 0 2
2θ = 30.32°, d = 2.947 Å, I = 73.0, hkl 0 2 1
2θ = 10.26°, d = 8.619 Å, I = 36.4, hkl 0 0 1
2θ = 31.13°, d = 2.873 Å, I = 35.7, hkl 0 0 3
2θ = 31.31°, d = 2.857 Å, I = 34.0, hkl 0 2 -2
2θ = 39.68°, d = 2.271 Å, I = 28.4, hkl 1 -2 1
2θ = 40.04°, d = 2.252 Å, I = 25.4, hkl 1 2 -1
2θ = 30.50°, d = 2.931 Å, I = 20.7, hkl 1 0 1
2θ = 39.82°, d = 2.264 Å, I = 18.7, hkl 1 2 0

No. 3
# KMgMn16O32
Calculated XRD peak list, Cu Kα (weighted mean of Kα1 and Kα2). Input: a DFT-relaxed cell (GGA+U, the Materials Project).
Kinematic intensities with the Lorentz-polarization factor, no thermal factor.

Atomic structure:
Unit cell a=5.893 b=9.709 c=10.262 alpha=91.39 beta=90.39 gamma=90.18
Positions (direct):
1 K 0.000 0.000 0.000
2 Mg 0.266 0.514 0.354
3 Mn 0.008 0.153 0.340
4 Mn 0.012 0.837 0.658
5 Mn 0.015 0.666 0.140
6 Mn 0.017 0.326 0.847
7 Mn 0.262 0.164 0.644
8 Mn 0.263 0.650 0.832
9 Mn 0.263 0.828 0.348
10 Mn 0.264 0.331 0.150
11 Mn 0.506 0.153 0.337
12 Mn 0.512 0.839 0.660
13 Mn 0.516 0.324 0.850
14 Mn 0.516 0.669 0.138
15 Mn 0.762 0.165 0.644
16 Mn 0.762 0.818 0.354
17 Mn 0.763 0.649 0.832
18 Mn 0.765 0.348 0.164
19 O 0.011 0.948 0.349
20 O 0.012 0.036 0.648
21 O 0.013 0.296 0.655
22 O 0.013 0.643 0.707
23 O 0.014 0.681 0.952
24 O 0.019 0.309 0.032
25 O 0.032 0.362 0.284
26 O 0.039 0.676 0.333
27 O 0.258 0.144 0.207
28 O 0.261 0.177 0.458
29 O 0.262 0.800 0.155
30 O 0.262 0.844 0.786
31 O 0.263 0.192 0.835
32 O 0.263 0.809 0.539
33 O 0.267 0.453 0.846
34 O 0.267 0.537 0.145
35 O 0.483 0.357 0.293
36 O 0.499 0.681 0.332
37 O 0.508 0.955 0.348
38 O 0.511 0.644 0.707
39 O 0.512 0.036 0.648
40 O 0.512 0.296 0.659
41 O 0.515 0.680 0.951
42 O 0.516 0.311 0.037
43 O 0.757 0.178 0.458
44 O 0.760 0.154 0.214
45 O 0.760 0.809 0.542
46 O 0.763 0.543 0.137
47 O 0.764 0.453 0.846
48 O 0.766 0.844 0.786
49 O 0.767 0.192 0.834
50 O 0.768 0.797 0.160

Most intense lines, 10 to 80 degrees two-theta, by intensity:
2θ = 18.28°, d = 4.853 Å, I = 100.0, hkl 0 2 0
2θ = 12.40°, d = 7.138 Å, I = 94.8, hkl 0 1 -1
2θ = 12.71°, d = 6.967 Å, I = 90.3, hkl 0 1 1
2θ = 17.29°, d = 5.129 Å, I = 79.0, hkl 0 0 2
2θ = 28.73°, d = 3.107 Å, I = 59.1, hkl 0 3 -1
2θ = 27.87°, d = 3.201 Å, I = 51.1, hkl 0 1 3
2θ = 36.33°, d = 2.473 Å, I = 47.9, hkl 2 -1 2
2θ = 36.62°, d = 2.454 Å, I = 46.8, hkl 2 1 2
2θ = 36.99°, d = 2.430 Å, I = 41.7, hkl 2 2 1
2θ = 34.99°, d = 2.565 Å, I = 39.9, hkl 0 0 4

No. 4
# K8MgMn4O16
Calculated XRD peak list, Cu Kα (weighted mean of Kα1 and Kα2). Input: a DFT-relaxed cell (GGA+U, the Materials Project).
Kinematic intensities with the Lorentz-polarization factor, no thermal factor.

Atomic structure:
Unit cell a=6.328 b=8.036 c=10.474 alpha=88.18 beta=84.47 gamma=87.65
Positions (direct):
1 K 0.000 0.000 0.000
2 K 0.016 0.713 0.701
3 K 0.044 0.483 0.327
4 K 0.151 0.232 0.653
5 K 0.474 0.832 0.468
6 K 0.510 0.200 0.200
7 K 0.539 0.704 0.124
8 K 0.570 0.419 0.841
9 Mg 0.718 0.133 0.582
10 Mn 0.055 0.467 0.998
11 Mn 0.506 0.942 0.838
12 Mn 0.555 0.417 0.484
13 Mn 0.982 0.959 0.342
14 O 0.076 0.145 0.306
15 O 0.124 0.437 0.843
16 O 0.168 0.807 0.312
17 O 0.271 0.439 0.078
18 O 0.287 0.949 0.755
19 O 0.363 0.525 0.574
20 O 0.441 0.996 0.992
21 O 0.484 0.207 0.478
22 O 0.608 0.504 0.337
23 O 0.624 0.751 0.831
24 O 0.683 0.089 0.767
25 O 0.770 0.927 0.261
26 O 0.786 0.377 0.565
27 O 0.868 0.334 0.047
28 O 0.897 0.950 0.506
29 O 0.962 0.660 0.019

Most intense lines, 10 to 80 degrees two-theta, by intensity:
2θ = 30.56°, d = 2.926 Å, I = 100.0, hkl 1 0 -3
2θ = 28.14°, d = 3.172 Å, I = 99.3, hkl 1 0 3
2θ = 28.36°, d = 3.147 Å, I = 81.2, hkl 2 0 0
2θ = 27.93°, d = 3.195 Å, I = 71.9, hkl 1 -2 1
2θ = 27.68°, d = 3.223 Å, I = 52.7, hkl 0 2 2
2θ = 28.44°, d = 3.139 Å, I = 49.6, hkl 0 2 -2
2θ = 26.64°, d = 3.347 Å, I = 47.5, hkl 1 2 1
2θ = 22.15°, d = 4.013 Å, I = 39.8, hkl 0 2 0
2θ = 38.15°, d = 2.359 Å, I = 33.0, hkl 2 2 2
2θ = 18.80°, d = 4.719 Å, I = 32.0, hkl 1 1 1